[1]
Structure and calculated PXRD pattern of Na3LiV4O12 (a PBE+U-relaxed structure; Cu Ka).
No peak broadening, texture or thermal motion is included.

Most intense lines, 2θ = 10–90°, by intensity:
- 2θ = 26.72°, d 3.336, intensity 100
- 2θ = 24.55°, d 3.626, intensity 75
- 2θ = 32.15°, d 2.784, intensity 42
- 2θ = 17.66°, d 5.022, intensity 41
- 2θ = 28.25°, d 3.160, intensity 37
- 2θ = 27.29°, d 3.268, intensity 27
- 2θ = 25.74°, d 3.461, intensity 24
- 2θ = 33.72°, d 2.658, intensity 21
- 2θ = 49.62°, d 1.837, intensity 19
- 2θ = 51.19°, d 1.784, intensity 18

Structural model:
a = 7.200 Å, b = 7.200 Å, c = 5.971 Å
α = 105.68°, β = 105.68°, γ = 83.15°
Fractional positions:
Na  0.000  0.000  0.000
Na  0.362  0.638  0.000
Na  0.807  0.193  0.500
Li  0.203  0.797  0.500
V  0.290  0.299  0.514
V  0.463  0.113  0.004
V  0.701  0.710  0.486
V  0.887  0.537  0.996
O  0.064  0.696  0.117
O  0.112  0.144  0.417
O  0.201  0.529  0.565
O  0.304  0.936  0.883
O  0.438  0.255  0.299
O  0.438  0.273  0.805
O  0.471  0.799  0.435
O  0.688  0.016  0.059
O  0.727  0.562  0.195
O  0.745  0.562  0.701
O  0.856  0.888  0.583
O  0.984  0.312  0.941



[2]
Structure and calculated PXRD pattern of Na2LiVO4 (a PBE+U-relaxed structure; Cu Ka).
No peak broadening, texture or thermal motion is included.

Most intense lines, 2θ = 10–90°, by intensity:
- 2θ = 21.12°, d 4.206, intensity 100
- 2θ = 30.57°, d 2.924, intensity 95
- 2θ = 19.67°, d 4.514, intensity 84
- 2θ = 32.98°, d 2.716, intensity 77
- 2θ = 34.85°, d 2.575, intensity 63
- 2θ = 52.44°, d 1.745, intensity 53
- 2θ = 33.49°, d 2.675, intensity 38
- 2θ = 60.12°, d 1.539, intensity 38
- 2θ = 29.05°, d 3.074, intensity 38
- 2θ = 63.37°, d 1.468, intensity 32

Structural model:
a = 6.648 Å, b = 6.149 Å, c = 5.432 Å
α = 90.00°, β = 90.00°, γ = 90.00°
Fractional positions:
Na  0.246  0.176  0.000
Na  0.254  0.824  0.500
Na  0.746  0.824  0.500
Na  0.754  0.176  0.000
Li  0.000  0.351  0.509
Li  0.500  0.649  0.009
V  0.000  0.662  0.011
V  0.500  0.338  0.511
O  0.000  0.408  0.870
O  0.000  0.629  0.329
O  0.220  0.806  0.931
O  0.280  0.194  0.431
O  0.500  0.371  0.829
O  0.500  0.592  0.370
O  0.720  0.194  0.431
O  0.780  0.806  0.931



[3]
Structure and calculated PXRD pattern of NaLiW4O12 (a PBE+U-relaxed structure; Cu Ka).
No peak broadening, texture or thermal motion is included.

Most intense lines, 2θ = 10–90°, by intensity:
- 2θ = 23.04°, d 3.861, intensity 100
- 2θ = 32.99°, d 2.715, intensity 68
- 2θ = 23.29°, d 3.819, intensity 47
- 2θ = 32.80°, d 2.730, intensity 32
- 2θ = 40.62°, d 2.221, intensity 23
- 2θ = 53.09°, d 1.725, intensity 21
- 2θ = 53.54°, d 1.712, intensity 20
- 2θ = 59.03°, d 1.565, intensity 15
- 2θ = 58.62°, d 1.575, intensity 15
- 2θ = 58.74°, d 1.572, intensity 15

Structural model:
a = 7.736 Å, b = 5.426 Å, c = 5.426 Å
α = 89.48°, β = 90.00°, γ = 90.00°
Fractional positions:
Na  0.000  0.000  0.000
Li  0.500  0.453  0.453
W  0.251  0.493  0.991
W  0.251  0.991  0.493
W  0.749  0.493  0.991
W  0.749  0.991  0.493
O  0.000  0.529  0.951
O  0.000  0.951  0.529
O  0.215  0.278  0.278
O  0.248  0.202  0.783
O  0.248  0.783  0.202
O  0.295  0.696  0.696
O  0.500  0.053  0.465
O  0.500  0.465  0.053
O  0.705  0.696  0.696
O  0.752  0.202  0.783
O  0.752  0.783  0.202
O  0.785  0.278  0.278